This entry pairs a crystal structure of CaSiTeAuSe with its theoretical XRD peak list. Radiation: Cu Kα, 1.54184 Å. Structure: DFT lattice parameters and positions (PBE).

Largest 8 diffraction maxima, in order of rising 2θ, 10° ≤ 2θ ≤ 90°:
Position (°2θ)	d (Å)	intensity	h k l
11.94	7.413	86.4	0 0 1
21.46	4.140	26.7	0 1 1
24.01	3.707	36.8	0 0 2
27.76	3.214	52.2	0 1 2
29.60	3.018	100.0	1 -1 0
31.75	2.818	33.6	1 1 0
37.24	2.414	28.7	0 1 3
47.69	1.907	28.5	0 2 -1

Structural model:
Cell lengths 4.1869, 4.3565, 7.9338 Å; angles 75.93, 74.90, 89.96 degrees
Positions (direct):
Ca: 0.0000 0.0000 0.0000
Si: 0.6583 0.8970 0.6779
Te: 0.7870 0.6184 0.4163
Au: 0.2025 0.1915 0.5877
Se: 0.5132 0.5067 0.9730